Diffraction record for As8S9. The X-ray powder pattern is computed, not measured: it uses the PBE geometry in the Materials Project and λ = 1.5418 Å (Cu Kα).
No peak broadening, texture or thermal motion is included.

Cell and atoms:
a = 8.6040 Å, b = 9.9071 Å, c = 22.2252 Å
α = 95.26°, β = 95.23°, γ = 99.80°
Space group P1 (No. 1)
Asymmetric unit:
As 0.0000 0.0000 0.0000 (multiplicity 1)
As 0.0045 0.9621 0.6573 (multiplicity 1)
As 0.0118 0.4441 0.3023 (multiplicity 1)
As 0.0866 0.7721 0.0310 (multiplicity 1)
As 0.1619 0.1745 0.3695 (multiplicity 1)
As 0.1877 0.8248 0.3195 (multiplicity 1)
As 0.2084 0.5439 0.7007 (multiplicity 1)
As 0.2496 0.7842 0.9427 (multiplicity 1)
As 0.2716 0.3187 0.7334 (multiplicity 1)
As 0.2988 0.6338 0.0863 (multiplicity 1)
As 0.5237 0.5477 0.5570 (multiplicity 1)
As 0.5363 0.0577 0.1620 (multiplicity 1)
As 0.5624 0.9208 0.2312 (multiplicity 1)
As 0.5987 0.3007 0.6673 (multiplicity 1)
As 0.6290 0.1499 0.5733 (multiplicity 1)
As 0.6982 0.6634 0.4836 (multiplicity 1)
As 0.7120 0.6084 0.9233 (multiplicity 1)
As 0.7342 0.1724 0.3520 (multiplicity 1)
As 0.8006 0.7176 0.1852 (multiplicity 1)
As 0.8423 0.5934 0.0291 (multiplicity 1)
As 0.8840 0.0301 0.5667 (multiplicity 1)
As 0.9422 0.5216 0.8797 (multiplicity 1)
As 0.9643 0.9512 0.3471 (multiplicity 1)
As 0.9913 0.1975 0.6928 (multiplicity 1)
S 0.0514 0.8856 0.4422 (multiplicity 1)
S 0.1017 0.7343 0.1980 (multiplicity 1)
S 0.1054 0.0476 0.5062 (multiplicity 1)
S 0.1100 0.2898 0.8419 (multiplicity 1)
S 0.1359 0.5460 0.1624 (multiplicity 1)
S 0.1371 0.9703 0.9181 (multiplicity 1)
S 0.1505 0.6806 0.7831 (multiplicity 1)
S 0.1541 0.2821 0.2803 (multiplicity 1)
S 0.2414 0.4864 0.0087 (multiplicity 1)
S 0.3427 0.3146 0.6332 (multiplicity 1)
S 0.3552 0.0158 0.3213 (multiplicity 1)
S 0.4526 0.7274 0.6156 (multiplicity 1)
S 0.4554 0.8999 0.0159 (multiplicity 1)
S 0.4621 0.6667 0.7020 (multiplicity 1)
S 0.5614 0.0631 0.6573 (multiplicity 1)
S 0.5981 0.0334 0.9697 (multiplicity 1)
S 0.6110 0.3545 0.3265 (multiplicity 1)
S 0.6925 0.8943 0.5000 (multiplicity 1)
S 0.7130 0.5016 0.1768 (multiplicity 1)
S 0.7136 0.3804 0.8896 (multiplicity 1)
S 0.7633 0.7698 0.0851 (multiplicity 1)
S 0.7655 0.3063 0.2654 (multiplicity 1)
S 0.7705 0.9387 0.9337 (multiplicity 1)
S 0.7959 0.5921 0.5696 (multiplicity 1)
S 0.9139 0.5999 0.7841 (multiplicity 1)
S 0.9422 0.1528 0.7910 (multiplicity 1)
S 0.9520 0.2918 0.4081 (multiplicity 1)

The 10 most intense peaks (2θ from 10° to 90°), by angle:
d (Å), 2theta, I_rel, h k l
8.428, 10.50, 58, 1 0 0
7.333, 12.07, 89, 0 0 3
6.912, 12.81, 63, 0 1 2
6.687, 13.24, 84, 1 -1 1
6.364, 13.91, 74, 1 0 2
5.870, 15.09, 100, 1 0 -3
5.256, 16.87, 42, 1 0 3
4.631, 19.17, 37, 0 2 -2
3.856, 23.06, 45, 0 2 3
3.667, 24.27, 38, 1 2 -3